[1]
Starting from a structure optimized by DFT (PBE), the powder diffraction line list of TmB2C was simulated for copper Kα.
Neutral-atom scattering factors, no anomalous dispersion.

Top 10 peaks for 10 to 80 degrees two-theta, sorted by position:
| d (Å) | intensity |
| --- | --- |
| 3.647 | 62 |
| 3.378 | 74 |
| 3.022 | 81 |
| 2.478 | 81 |
| 2.327 | 100 |
| 1.998 | 24 |
| 1.639 | 37 |
| 1.561 | 24 |
| 1.495 | 44 |
| 1.219 | 28 |

Cell and atoms:
Unit cell a=6.7563 b=6.7563 c=7.2935 alpha=90.00 beta=90.00 gamma=90.00
Atoms (fractional coordinates):
Tm: 0.1908 0.3092 0.2500
Tm: 0.1908 0.3092 0.7500
Tm: 0.3092 0.8092 0.2500
Tm: 0.3092 0.8092 0.7500
Tm: 0.6908 0.1908 0.2500
Tm: 0.6908 0.1908 0.7500
Tm: 0.8092 0.6908 0.2500
Tm: 0.8092 0.6908 0.7500
B: 0.0344 0.8475 0.0000
B: 0.0939 0.5969 0.0000
B: 0.0969 0.5939 0.5000
B: 0.1525 0.0344 0.5000
B: 0.3475 0.5344 0.5000
B: 0.4031 0.0939 0.5000
B: 0.4061 0.0969 0.0000
B: 0.4656 0.3475 0.0000
B: 0.5344 0.6525 0.0000
B: 0.5939 0.9031 0.0000
B: 0.5969 0.9061 0.5000
B: 0.6525 0.4656 0.5000
B: 0.8475 0.9656 0.5000
B: 0.9031 0.4061 0.5000
B: 0.9061 0.4031 0.0000
B: 0.9656 0.1525 0.0000
C: 0.0402 0.8224 0.5000
C: 0.1776 0.0402 0.0000
C: 0.3224 0.5402 0.0000
C: 0.4598 0.3224 0.5000
C: 0.5402 0.6776 0.5000
C: 0.6776 0.4598 0.0000
C: 0.8224 0.9598 0.0000
C: 0.9598 0.1776 0.5000



[2]
Starting from a structure optimized by DFT (PBE), the powder diffraction line list of Rb2Sn2Hg3S8 was simulated for copper Kα.
Neutral-atom scattering factors, no anomalous dispersion.

Top 10 peaks for 10 to 80 degrees two-theta, sorted by position:
| d (Å) | intensity |
| --- | --- |
| 6.065 | 42 |
| 4.201 | 100 |
| 4.027 | 59 |
| 3.680 | 43 |
| 3.425 | 58 |
| 3.386 | 78 |
| 3.202 | 46 |
| 2.915 | 39 |
| 2.561 | 41 |
| 2.401 | 47 |

Cell and atoms:
Unit cell a=10.3356 b=6.7413 c=13.8185 alpha=90.00 beta=97.67 gamma=90.00
Atoms (fractional coordinates):
Rb: 0.2220 0.1597 0.3081
Rb: 0.2220 0.3403 0.8081
Rb: 0.7780 0.6597 0.1919
Rb: 0.7780 0.8403 0.6919
Sn: 0.2851 0.6831 0.0756
Sn: 0.2851 0.8169 0.5756
Sn: 0.7149 0.1831 0.4244
Sn: 0.7149 0.3169 0.9244
Hg: 0.0000 0.0000 0.0000
Hg: 0.0000 0.5000 0.5000
Hg: 0.4979 0.7039 0.3797
Hg: 0.4979 0.7961 0.8797
Hg: 0.5021 0.2039 0.1203
Hg: 0.5021 0.2961 0.6203
S: 0.0812 0.7050 0.6343
S: 0.0812 0.7950 0.1343
S: 0.2662 0.6959 0.4086
S: 0.2662 0.8041 0.9086
S: 0.2754 0.1768 0.5748
S: 0.2754 0.3232 0.0748
S: 0.4684 0.6811 0.6774
S: 0.4684 0.8189 0.1774
S: 0.5316 0.1811 0.8226
S: 0.5316 0.3189 0.3226
S: 0.7246 0.6768 0.9252
S: 0.7246 0.8232 0.4252
S: 0.7338 0.1959 0.0914
S: 0.7338 0.3041 0.5914
S: 0.9188 0.2050 0.8657
S: 0.9188 0.2950 0.3657



[3]
Starting from a structure optimized by DFT (PBE), the powder diffraction line list of CsHfMg14O15 was simulated for copper Kα.
Neutral-atom scattering factors, no anomalous dispersion.

Top 10 peaks for 10 to 80 degrees two-theta, sorted by position:
| d (Å) | intensity |
| --- | --- |
| 6.805 | 100 |
| 5.808 | 29 |
| 3.553 | 58 |
| 3.516 | 42 |
| 3.403 | 38 |
| 3.385 | 35 |
| 2.635 | 66 |
| 2.323 | 30 |
| 2.099 | 38 |
| 2.083 | 38 |

Cell and atoms:
Unit cell a=4.1652 b=8.3969 c=11.6162 alpha=90.00 beta=90.00 gamma=90.00
Atoms (fractional coordinates):
Cs: 0.0000 0.0000 0.0000
Hf: 0.0000 0.5000 0.5349
Mg: 0.0000 0.0000 0.5421
Mg: 0.0000 0.2344 0.3218
Mg: 0.0000 0.2480 0.7400
Mg: 0.0000 0.5000 0.1128
Mg: 0.0000 0.7520 0.7400
Mg: 0.0000 0.7656 0.3218
Mg: 0.5000 0.0000 0.3327
Mg: 0.5000 0.0000 0.7278
Mg: 0.5000 0.2398 0.5381
Mg: 0.5000 0.2450 0.1522
Mg: 0.5000 0.5000 0.3239
Mg: 0.5000 0.5000 0.7971
Mg: 0.5000 0.7550 0.1522
Mg: 0.5000 0.7602 0.5381
O: 0.0000 0.0000 0.3692
O: 0.0000 0.0000 0.7306
O: 0.0000 0.2561 0.5528
O: 0.0000 0.2702 0.1517
O: 0.0000 0.5000 0.3621
O: 0.0000 0.7298 0.1517
O: 0.0000 0.7439 0.5528
O: 0.5000 0.0000 0.1597
O: 0.5000 0.0000 0.5487
O: 0.5000 0.2497 0.7391
O: 0.5000 0.2514 0.3507
O: 0.5000 0.5000 0.1510
O: 0.5000 0.5000 0.5338
O: 0.5000 0.7486 0.3507
O: 0.5000 0.7503 0.7391



[4]
Starting from a structure optimized by DFT (PBE), the powder diffraction line list of BiPbIO2 was simulated for copper Kα.
Neutral-atom scattering factors, no anomalous dispersion.

Top 10 peaks for 10 to 80 degrees two-theta, sorted by position:
| d (Å) | intensity |
| --- | --- |
| 3.058 | 100 |
| 2.880 | 38 |
| 2.314 | 10 |
| 2.037 | 18 |
| 1.804 | 26 |
| 1.695 | 37 |
| 1.529 | 12 |
| 1.443 | 10 |
| 1.303 | 8 |
| 1.288 | 7 |

Cell and atoms:
Unit cell a=4.0735 b=4.0735 c=13.8833 alpha=90.00 beta=90.00 gamma=90.00
Atoms (fractional coordinates):
Bi: 0.0000 0.0000 0.0000
Bi: 0.5000 0.5000 0.5000
Pb: 0.0000 0.0000 0.3253
Pb: 0.5000 0.5000 0.8253
I: 0.0000 0.0000 0.6591
I: 0.5000 0.5000 0.1591
O: 0.0000 0.5000 0.4222
O: 0.0000 0.5000 0.9222
O: 0.5000 0.0000 0.4222
O: 0.5000 0.0000 0.9222